Structure and theoretical XRD peak list of Cs4GeTe6 (the PBE geometry in the Materials Project; copper Kα).

Structural model:
Lattice parameters (Å, degrees): 8.0943 14.3663 18.3093 90.00 104.23 90.00
Atoms (fractional coordinates):
Cs 0.0208 0.1746 0.3735
Cs 0.0208 0.3254 0.8735
Cs 0.1915 0.6061 0.4973
Cs 0.1915 0.8939 0.9973
Cs 0.3422 0.0595 0.7999
Cs 0.3422 0.4405 0.2999
Cs 0.4131 0.5901 0.9000
Cs 0.4131 0.9099 0.4000
Cs 0.5869 0.0901 0.6000
Cs 0.5869 0.4099 0.1000
Cs 0.6578 0.5595 0.7001
Cs 0.6578 0.9405 0.2001
Cs 0.8085 0.1061 0.0027
Cs 0.8085 0.3939 0.5027
Cs 0.9792 0.6746 0.1265
Cs 0.9792 0.8254 0.6265
Ge 0.2596 0.1467 0.1531
Ge 0.2596 0.3533 0.6531
Ge 0.7404 0.6467 0.3469
Ge 0.7404 0.8533 0.8469
Te 0.0241 0.2273 0.6656
Te 0.0241 0.2727 0.1656
Te 0.0794 0.0750 0.5795
Te 0.0794 0.4250 0.0795
Te 0.1444 0.5060 0.6957
Te 0.1444 0.9940 0.1957
Te 0.3403 0.1573 0.0250
Te 0.3403 0.3427 0.5250
Te 0.4441 0.7006 0.2572
Te 0.4441 0.7994 0.7572
Te 0.4936 0.7040 0.1125
Te 0.4936 0.7960 0.6125
Te 0.5064 0.2040 0.3875
Te 0.5064 0.2960 0.8875
Te 0.5559 0.2006 0.2428
Te 0.5559 0.2994 0.7428
Te 0.6597 0.6573 0.4750
Te 0.6597 0.8427 0.9750
Te 0.8556 0.0060 0.8043
Te 0.8556 0.4940 0.3043
Te 0.9206 0.5750 0.9205
Te 0.9206 0.9250 0.4205
Te 0.9759 0.7273 0.8344
Te 0.9759 0.7727 0.3344

Most intense lines, 5 to 70 degrees two-theta, by intensity:
d [Å]	intensity
3.445	100
3.522	89
3.537	58
3.253	49
3.722	46
2.158	34
3.472	33
2.893	28
3.380	27
3.329	26

Structure and theoretical XRD peak list of MgTi4O6 (the PBE geometry in the Materials Project; copper Kα).

Structural model:
Lattice parameters (Å, degrees): 5.1617 5.1617 14.9620 90.00 90.00 146.87
Atoms (fractional coordinates):
Mg 0.1580 0.8420 0.7500
Mg 0.8420 0.1580 0.2500
Ti 0.0977 0.9023 0.1302
Ti 0.0977 0.9023 0.3698
Ti 0.3535 0.6465 0.0397
Ti 0.3535 0.6465 0.4603
Ti 0.6465 0.3535 0.5397
Ti 0.6465 0.3535 0.9603
Ti 0.9023 0.0977 0.6302
Ti 0.9023 0.0977 0.8698
O 0.0000 0.0000 0.0000
O 0.0000 0.0000 0.5000
O 0.1892 0.8108 0.2500
O 0.2649 0.7351 0.5957
O 0.2649 0.7351 0.9043
O 0.4557 0.5443 0.1619
O 0.4557 0.5443 0.3381
O 0.5443 0.4557 0.6619
O 0.5443 0.4557 0.8381
O 0.7351 0.2649 0.0957
O 0.7351 0.2649 0.4043
O 0.8108 0.1892 0.7500

Most intense lines, 5 to 70 degrees two-theta, by intensity:
d [Å]	intensity
2.560	100
2.107	100
7.481	76
2.010	60
2.173	53
1.559	48
1.962	36
1.504	30
1.471	29
2.455	28

Structure and theoretical XRD peak list of Pu2Br2O (the PBE geometry in the Materials Project; copper Kα).

Structural model:
Lattice parameters (Å, degrees): 3.7449 3.7449 13.0905 90.00 90.00 90.00
Atoms (fractional coordinates):
Pu 0.0000 0.0000 0.1564
Pu 0.0000 0.0000 0.8436
Br 0.0000 0.0000 0.3583
Br 0.0000 0.0000 0.6417
O 0.0000 0.0000 0.0000

Most intense lines, 5 to 70 degrees two-theta, by intensity:
d [Å]	intensity
3.745	100
13.091	52
2.648	41
2.464	34
1.675	24
1.885	21
2.059	20
2.842	20
3.273	18
6.545	16

Structure and theoretical XRD peak list of Rb2NaBiCl6 (the PBE geometry in the Materials Project; copper Kα).

Structural model:
Lattice parameters (Å, degrees): 7.7443 7.7443 7.7443 60.00 60.00 60.00
Atoms (fractional coordinates):
Rb 0.2500 0.2500 0.2500
Rb 0.7500 0.7500 0.7500
Na 0.0000 0.0000 0.0000
Bi 0.5000 0.5000 0.5000
Cl 0.2522 0.2522 0.7478
Cl 0.2522 0.7478 0.2522
Cl 0.2522 0.7478 0.7478
Cl 0.7478 0.2522 0.2522
Cl 0.7478 0.2522 0.7478
Cl 0.7478 0.7478 0.2522

Most intense lines, 5 to 70 degrees two-theta, by intensity:
d [Å]	intensity
3.872	100
2.738	74
6.323	63
1.936	51
2.236	48
3.302	40
1.464	26
1.732	23
2.513	19
5.476	18

Structure and theoretical XRD peak list of Ba2DyMgSbO6 (the PBE geometry in the Materials Project; copper Kα).

Structural model:
Lattice parameters (Å, degrees): 6.6257 6.6257 6.6257 124.66 123.45 83.11
Atoms (fractional coordinates):
Ba 0.1929 0.1929 0.0000
Ba 0.8071 0.8071 0.0000
Dy 0.5000 0.0000 0.5000
Mg 0.5000 0.5000 0.0000
Sb 0.0000 0.5000 0.5000
O 0.2580 0.7580 0.5000
O 0.2678 0.2666 0.5344
O 0.2678 0.7334 0.0013
O 0.7322 0.2666 0.9987
O 0.7322 0.7334 0.4656
O 0.7420 0.2420 0.5000

Most intense lines, 5 to 70 degrees two-theta, by intensity:
d [Å]	intensity
3.289	100
2.197	41
3.139	37
3.077	35
1.840	20
1.814	19
2.925	19
2.120	14
1.644	14
2.479	13

Structure and theoretical XRD peak list of Li2CuGe (the PBE geometry in the Materials Project; copper Kα).

Structural model:
Lattice parameters (Å, degrees): 2.8162 2.8162 29.0392 90.00 90.00 120.00
Atoms (fractional coordinates):
Li 0.0000 0.0000 0.0000
Li 0.0000 0.0000 0.4189
Li 0.3333 0.6667 0.0855
Li 0.3333 0.6667 0.6667
Li 0.6667 0.3333 0.3333
Li 0.6667 0.3333 0.7522
Cu 0.0000 0.0000 0.8241
Cu 0.3333 0.6667 0.4908
Cu 0.6667 0.3333 0.1574
Ge 0.0000 0.0000 0.9101
Ge 0.3333 0.6667 0.5768
Ge 0.6667 0.3333 0.2434

Most intense lines, 5 to 70 degrees two-theta, by intensity:
d [Å]	intensity
9.680	100
2.430	25
2.405	21
1.868	11
1.791	11
3.227	10
2.420	10
1.647	7
1.408	5
2.024	5

Structure and theoretical XRD peak list of NbNO (the PBE geometry in the Materials Project; copper Kα).

Structural model:
Lattice parameters (Å, degrees): 6.9078 6.9078 6.8478 106.80 106.80 32.83
Atoms (fractional coordinates):
Nb 0.1055 0.1055 0.2151
Nb 0.1887 0.1887 0.8105
Nb 0.8113 0.8113 0.1895
Nb 0.8945 0.8945 0.7849
N 0.0556 0.0556 0.8612
N 0.2601 0.2601 0.1481
N 0.7399 0.7399 0.8519
N 0.9444 0.9444 0.1388
O 0.1409 0.1409 0.5087
O 0.3662 0.3662 0.7901
O 0.6338 0.6338 0.2099
O 0.8591 0.8591 0.4913

Most intense lines, 5 to 70 degrees two-theta, by intensity:
d [Å]	intensity
3.730	100
3.261	96
6.529	47
2.863	45
1.584	35
6.318	34
1.703	32
1.952	31
2.573	28
2.716	28